[1]
The following is a theoretical powder diffraction line list of NaNp4O10. It was derived from a DFT-relaxed cell (PBE, Alexandria), using a wavelength of 1.5418 Å.

Main lines, in order of falling intensity (15 to 90 degrees two-theta):
d (Å), 2theta, I_rel
3.098, 28.82, 1000
1.905, 47.73, 332
1.608, 57.31, 304
2.660, 33.70, 228
1.881, 48.40, 167
1.639, 56.13, 152
1.236, 77.21, 122
2.731, 32.80, 121

Cell and atoms:
Cell: 13.911 13.911 13.911 Å, 164.46 164.46 22.05°
Element x y z (fractional)
Na: 0.000 0.000 0.000
Np: 0.199 0.199 0.000
Np: 0.404 0.404 0.000
Np: 0.596 0.596 0.000
Np: 0.801 0.801 0.000
O: 0.059 0.559 0.500
O: 0.153 0.653 0.500
O: 0.250 0.750 0.500
O: 0.347 0.847 0.500
O: 0.441 0.941 0.500
O: 0.559 0.059 0.500
O: 0.653 0.153 0.500
O: 0.750 0.250 0.500
O: 0.847 0.347 0.500
O: 0.941 0.441 0.500

[2]
The following is a theoretical powder diffraction line list of HfGeRh3. It was derived from a DFT-relaxed cell (PBE, Alexandria), using a wavelength of 1.5418 Å.

Main lines, in order of falling intensity (15 to 90 degrees two-theta):
d (Å), 2theta, I_rel
2.367, 38.01, 1000
1.818, 50.18, 270
2.458, 36.56, 204
1.560, 59.25, 196
3.119, 28.62, 191
1.401, 66.77, 188
2.237, 40.31, 150
2.701, 33.16, 115

Cell and atoms:
Cell: 6.238 6.238 4.916 Å, 90.00 90.00 120.00°
Element x y z (fractional)
Hf: 0.333 0.667 0.250
Hf: 0.667 0.333 0.750
Ge: 0.000 0.000 0.000
Ge: 0.000 0.000 0.500
Rh: 0.192 0.384 0.750
Rh: 0.192 0.808 0.750
Rh: 0.384 0.192 0.250
Rh: 0.616 0.808 0.750
Rh: 0.808 0.192 0.250
Rh: 0.808 0.616 0.250

[3]
The following is a theoretical powder diffraction line list of H3Pb2Cl8. It was derived from a DFT-relaxed cell (PBE, Alexandria), using a wavelength of 1.5418 Å.

Main lines, in order of falling intensity (15 to 90 degrees two-theta):
d (Å), 2theta, I_rel
3.143, 28.39, 1000
4.651, 19.08, 541
5.745, 15.42, 536
4.058, 21.90, 388
3.061, 29.18, 360
3.583, 24.85, 355
2.867, 31.19, 305
2.270, 39.71, 289

Cell and atoms:
Cell: 6.972 8.354 13.448 Å, 83.66 80.98 75.79°
Element x y z (fractional)
H: 0.046 0.339 0.346
H: 0.125 0.241 0.785
H: 0.452 0.043 0.128
H: 0.548 0.957 0.872
H: 0.875 0.759 0.215
H: 0.954 0.661 0.654
Pb: 0.244 0.607 0.930
Pb: 0.451 0.913 0.651
Pb: 0.549 0.087 0.349
Pb: 0.756 0.393 0.070
Cl: 0.100 0.215 0.693
Cl: 0.160 0.300 0.938
Cl: 0.178 0.355 0.403
Cl: 0.199 0.661 0.727
Cl: 0.255 0.921 0.928
Cl: 0.298 0.010 0.191
Cl: 0.346 0.870 0.471
Cl: 0.362 0.514 0.125
Cl: 0.638 0.486 0.875
Cl: 0.654 0.130 0.529
Cl: 0.702 0.990 0.809
Cl: 0.745 0.079 0.072
Cl: 0.801 0.339 0.273
Cl: 0.822 0.645 0.597
Cl: 0.840 0.700 0.062
Cl: 0.900 0.785 0.307

[4]
The following is a theoretical powder diffraction line list of Tb4Pr2Sm2Dy. It was derived from a DFT-relaxed cell (PBE, Alexandria), using a wavelength of 1.5418 Å.

Main lines, in order of falling intensity (15 to 90 degrees two-theta):
d (Å), 2theta, I_rel
2.838, 31.52, 1000
2.699, 33.20, 900
2.907, 30.76, 508
1.542, 60.00, 457
1.819, 50.16, 392
3.128, 28.54, 364
1.696, 54.08, 211
1.607, 57.33, 195

Cell and atoms:
Cell: 9.616 9.616 9.676 Å, 115.19 115.19 21.83°
Element x y z (fractional)
Tb: 0.019 0.019 0.332
Tb: 0.315 0.315 0.665
Tb: 0.685 0.685 0.335
Tb: 0.981 0.981 0.668
Pr: 0.165 0.165 0.000
Pr: 0.835 0.835 0.000
Sm: 0.353 0.353 0.337
Sm: 0.647 0.647 0.663
Dy: 0.500 0.500 0.000

[5]
The following is a theoretical powder diffraction line list of Ba3Li2CdHg6. It was derived from a DFT-relaxed cell (PBE, Alexandria), using a wavelength of 1.5418 Å.

Main lines, in order of falling intensity (15 to 90 degrees two-theta):
d (Å), 2theta, I_rel
2.824, 31.69, 1000
2.518, 35.66, 409
4.816, 18.42, 301
2.174, 41.54, 208
2.784, 32.16, 207
5.036, 17.61, 177
1.705, 53.75, 177
2.232, 40.42, 169

Cell and atoms:
Cell: 6.822 6.822 9.632 Å, 90.00 90.00 120.00°
Element x y z (fractional)
Ba: 0.000 0.000 0.000
Ba: 0.333 0.667 0.629
Ba: 0.667 0.333 0.371
Li: 0.333 0.667 0.040
Li: 0.667 0.333 0.960
Cd: 0.000 0.000 0.500
Hg: 0.181 0.363 0.273
Hg: 0.181 0.819 0.273
Hg: 0.363 0.181 0.727
Hg: 0.637 0.819 0.273
Hg: 0.819 0.181 0.727
Hg: 0.819 0.637 0.727

[6]
The following is a theoretical powder diffraction line list of Pm2Ho4Sc5. It was derived from a DFT-relaxed cell (PBE, Alexandria), using a wavelength of 1.5418 Å.

Main lines, in order of falling intensity (15 to 90 degrees two-theta):
d (Å), 2theta, I_rel
2.881, 31.04, 1000
2.695, 33.24, 999
2.714, 33.00, 741
3.448, 25.84, 714
2.465, 36.46, 419
4.400, 20.18, 378
1.545, 59.88, 372
2.637, 33.99, 293

Cell and atoms:
Cell: 6.413 6.413 9.807 Å, 113.54 113.54 65.06°
Element x y z (fractional)
Pm: 0.097 0.097 0.390
Pm: 0.903 0.903 0.610
Ho: 0.152 0.152 0.977
Ho: 0.446 0.446 0.634
Ho: 0.554 0.554 0.366
Ho: 0.848 0.848 0.023
Sc: 0.009 0.552 0.283
Sc: 0.448 0.991 0.717
Sc: 0.500 0.500 0.000
Sc: 0.552 0.009 0.283
Sc: 0.991 0.448 0.717

[7]
The following is a theoretical powder diffraction line list of Tl6Pd8Au. It was derived from a DFT-relaxed cell (PBE, Alexandria), using a wavelength of 1.5418 Å.

Main lines, in order of falling intensity (15 to 90 degrees two-theta):
d (Å), 2theta, I_rel
2.264, 39.82, 1000
2.340, 38.48, 915
2.524, 35.57, 767
2.226, 40.52, 568
2.729, 32.82, 361
2.619, 34.24, 321
3.254, 27.41, 256
2.968, 30.11, 238

Cell and atoms:
Cell: 7.189 7.189 7.189 Å, 68.62 68.62 68.62°
Element x y z (fractional)
Tl: 0.132 0.423 0.672
Tl: 0.328 0.868 0.577
Tl: 0.423 0.672 0.132
Tl: 0.577 0.328 0.868
Tl: 0.672 0.132 0.423
Tl: 0.868 0.577 0.328
Pd: 0.055 0.818 0.408
Pd: 0.181 0.181 0.181
Pd: 0.182 0.592 0.945
Pd: 0.408 0.055 0.818
Pd: 0.592 0.945 0.182
Pd: 0.818 0.408 0.055
Pd: 0.819 0.819 0.819
Pd: 0.945 0.182 0.592
Au: 0.000 0.000 0.000

[8]
The following is a theoretical powder diffraction line list of Cs3Tl4As. It was derived from a DFT-relaxed cell (PBE, Alexandria), using a wavelength of 1.5418 Å.

Main lines, in order of falling intensity (15 to 90 degrees two-theta):
d (Å), 2theta, I_rel
3.946, 22.54, 1000
2.742, 32.65, 957
3.814, 23.32, 803
2.716, 32.98, 718
2.540, 35.34, 529
3.319, 26.86, 331
3.341, 26.68, 290
1.920, 47.34, 289

Cell and atoms:
Cell: 7.684 13.182 7.891 Å, 90.00 90.00 90.00°
Element x y z (fractional)
Cs: 0.000 0.000 0.000
Cs: 0.000 0.286 0.436
Cs: 0.000 0.714 0.436
Cs: 0.500 0.214 0.936
Cs: 0.500 0.500 0.500
Cs: 0.500 0.786 0.936
Tl: 0.000 0.342 0.956
Tl: 0.000 0.658 0.956
Tl: 0.211 0.000 0.482
Tl: 0.289 0.500 0.982
Tl: 0.500 0.158 0.456
Tl: 0.500 0.842 0.456
Tl: 0.711 0.500 0.982
Tl: 0.789 0.000 0.482
As: 0.000 0.500 0.704
As: 0.500 0.000 0.204